# 1
Theoretical X-ray diffraction stick pattern of LiZr3Rh3 for copper Kα, from a structure optimized by DFT (PBE).
Kinematic intensities with the Lorentz-polarization factor, no thermal factor.

Cell and atoms:
```
LiZr3Rh3
1.0
4.5859 -4.6428 0.0000
4.5859 4.6428 0.0000
0.0000 0.0000 6.1078
Li Zr Rh
2 6 6
Direct
0.2406 0.7594 0.0000
0.7594 0.2406 0.0000
0.2439 0.7561 0.5000
0.2626 0.2626 0.5000
0.2642 0.2642 0.0000
0.7358 0.7358 0.0000
0.7374 0.7374 0.5000
0.7561 0.2439 0.5000
0.0000 0.0000 0.2507
0.0000 0.0000 0.7493
0.0000 0.5000 0.2470
0.0000 0.5000 0.7530
0.5000 0.0000 0.2470
0.5000 0.0000 0.7530
```

Top 8 peaks for 2θ = 15–90°, low angle first:
| two_theta | I (rel.) |
| --- | --- |
| 19.36 | 18 |
| 38.79 | 28 |
| 39.29 | 27 |
| 40.46 | 100 |
| 56.40 | 18 |
| 71.35 | 18 |
| 72.02 | 16 |
| 87.50 | 10 |

# 2
Theoretical X-ray diffraction stick pattern of Li3Ru for copper Kα, from a structure optimized by DFT (PBE).
Kinematic intensities with the Lorentz-polarization factor, no thermal factor.

Cell and atoms:
```
Li3Ru
1.0
2.5134 0.0000 0.0000
0.0000 4.5608 0.0000
0.0000 0.0000 4.9462
Li Ru
3 1
Direct
0.0000 0.0000 0.0000
0.0000 0.5000 0.3170
0.5000 0.5000 0.7690
0.5000 0.0000 0.4962
```

Top 8 peaks for 2θ = 15–90°, low angle first:
| two_theta | I (rel.) |
| --- | --- |
| 17.93 | 100 |
| 19.46 | 80 |
| 26.59 | 72 |
| 40.25 | 28 |
| 41.00 | 23 |
| 41.54 | 31 |
| 43.71 | 20 |
| 45.08 | 45 |

# 3
Theoretical X-ray diffraction stick pattern of LiRu3 for copper Kα, from a structure optimized by DFT (PBE).
Kinematic intensities with the Lorentz-polarization factor, no thermal factor.

Cell and atoms:
```
LiRu3
1.0
3.6674 0.0000 0.0000
0.0000 3.6674 0.0000
0.0000 0.0000 7.9374
Li Ru
2 6
Direct
0.0000 0.0000 0.0000
0.5000 0.5000 0.5000
0.0000 0.0000 0.5000
0.0000 0.5000 0.2500
0.0000 0.5000 0.7500
0.5000 0.0000 0.2500
0.5000 0.0000 0.7500
0.5000 0.5000 0.0000
```

Top 8 peaks for 2θ = 15–90°, low angle first:
| two_theta | I (rel.) |
| --- | --- |
| 22.40 | 13 |
| 26.78 | 32 |
| 41.60 | 100 |
| 45.72 | 19 |
| 49.72 | 30 |
| 69.84 | 21 |
| 81.72 | 13 |
| 87.66 | 23 |

# 4
Theoretical X-ray diffraction stick pattern of LiRu5 for copper Kα, from a structure optimized by DFT (PBE).
Kinematic intensities with the Lorentz-polarization factor, no thermal factor.

Cell and atoms:
```
LiRu5
1.0
4.6612 0.0000 0.0000
-2.3306 4.0367 0.0000
0.0000 0.0000 4.3050
Li Ru
1 5
Direct
0.0000 0.0000 0.0000
0.0000 0.6806 0.5000
0.3194 0.3194 0.5000
0.3333 0.6667 0.0000
0.6667 0.3333 0.0000
0.6806 0.0000 0.5000
```

Top 8 peaks for 2θ = 15–90°, low angle first:
| two_theta | I (rel.) |
| --- | --- |
| 30.35 | 18 |
| 38.63 | 27 |
| 41.97 | 26 |
| 44.19 | 100 |
| 58.36 | 16 |
| 69.91 | 16 |
| 78.23 | 18 |
| 85.01 | 19 |

# 5
Theoretical X-ray diffraction stick pattern of Li2Ru3 for copper Kα, from a structure optimized by DFT (PBE).
Kinematic intensities with the Lorentz-polarization factor, no thermal factor.

Cell and atoms:
```
Li2Ru3
1.0
0.0000 4.3297 6.4957
2.3304 0.0000 6.4957
2.3304 4.3297 0.0000
Li Ru
4 6
Direct
0.0766 0.0766 0.6734
0.3266 0.3266 0.9234
0.6734 0.6734 0.0766
0.9234 0.9234 0.3266
0.1250 0.1250 0.1250
0.2786 0.2786 0.4714
0.4714 0.4714 0.2786
0.5286 0.5286 0.7214
0.7214 0.7214 0.5286
0.8750 0.8750 0.8750
```

Top 8 peaks for 2θ = 15–90°, low angle first:
| two_theta | I (rel.) |
| --- | --- |
| 22.72 | 15 |
| 24.71 | 86 |
| 30.00 | 39 |
| 41.13 | 100 |
| 41.72 | 38 |
| 44.13 | 64 |
| 51.20 | 41 |
| 68.10 | 17 |

# 6
Theoretical X-ray diffraction stick pattern of LiScRu2 for copper Kα, from a structure optimized by DFT (PBE).
Kinematic intensities with the Lorentz-polarization factor, no thermal factor.

Cell and atoms:
```
LiScRu2
1.0
2.8792 0.0000 0.0000
0.0000 3.8926 0.0000
0.0000 0.0000 5.4683
Li Sc Ru
1 1 2
Direct
0.0000 0.0000 0.0000
0.5000 0.5000 0.7332
0.0000 0.0000 0.4563
0.5000 0.5000 0.2552
```

Top 8 peaks for 2θ = 15–90°, low angle first:
| two_theta | I (rel.) |
| --- | --- |
| 16.21 | 100 |
| 28.14 | 25 |
| 38.91 | 80 |
| 40.31 | 67 |
| 42.40 | 35 |
| 45.76 | 46 |
| 46.67 | 23 |
| 67.43 | 28 |

# 7
Theoretical X-ray diffraction stick pattern of LiTmScRu for copper Kα, from a structure optimized by DFT (PBE).
Kinematic intensities with the Lorentz-polarization factor, no thermal factor.

Cell and atoms:
```
LiTmScRu
1.0
6.6969 0.0000 0.0000
0.0000 6.6969 0.0000
0.0000 0.0000 6.6969
Li Tm Sc Ru
4 4 4 4
Direct
0.0000 0.0000 0.0000
0.0000 0.5000 0.5000
0.5000 0.0000 0.5000
0.5000 0.5000 0.0000
0.2500 0.2500 0.2500
0.2500 0.7500 0.7500
0.7500 0.2500 0.7500
0.7500 0.7500 0.2500
0.2500 0.2500 0.7500
0.2500 0.7500 0.2500
0.7500 0.2500 0.2500
0.7500 0.7500 0.7500
0.0000 0.0000 0.5000
0.0000 0.5000 0.0000
0.5000 0.0000 0.0000
0.5000 0.5000 0.5000
```

Top 8 peaks for 2θ = 15–90°, low angle first:
| two_theta | I (rel.) |
| --- | --- |
| 23.00 | 58 |
| 26.62 | 13 |
| 38.00 | 100 |
| 44.89 | 31 |
| 54.83 | 17 |
| 60.24 | 13 |
| 68.66 | 34 |
| 81.26 | 11 |

# 8
Theoretical X-ray diffraction stick pattern of LiRu2Se for copper Kα, from a structure optimized by DFT (PBE).
Kinematic intensities with the Lorentz-polarization factor, no thermal factor.

Cell and atoms:
```
LiRu2Se
1.0
2.9264 0.0000 0.0000
0.0000 4.2281 0.0000
0.0000 0.0000 9.6447
Li Ru Se
2 4 2
Direct
0.0000 0.0000 0.0000
0.5000 0.5000 0.5000
0.0000 0.5000 0.2111
0.0000 0.5000 0.7889
0.5000 0.0000 0.2889
0.5000 0.0000 0.7111
0.0000 0.0000 0.5000
0.5000 0.5000 0.0000
```

Top 8 peaks for 2θ = 15–90°, low angle first:
| two_theta | I (rel.) |
| --- | --- |
| 18.40 | 28 |
| 22.97 | 55 |
| 37.33 | 34 |
| 41.74 | 32 |
| 41.96 | 100 |
| 42.77 | 28 |
| 52.12 | 27 |
| 61.30 | 20 |

# 9
Theoretical X-ray diffraction stick pattern of Li2Si2Ru for copper Kα, from a structure optimized by DFT (PBE).
Kinematic intensities with the Lorentz-polarization factor, no thermal factor.

Cell and atoms:
```
Li2Si2Ru
1.0
8.5507 0.0000 0.0000
0.0000 6.1366 0.0000
-0.0642 0.0000 5.7496
Li Si Ru
8 8 4
Direct
0.0092 0.2391 0.4952
0.0092 0.2609 0.9952
0.2533 0.5957 0.2893
0.2533 0.9043 0.7893
0.7467 0.0957 0.2107
0.7467 0.4043 0.7107
0.9908 0.7391 0.0048
0.9908 0.7609 0.5048
0.1898 0.0277 0.2377
0.1898 0.4723 0.7377
0.4526 0.5633 0.7026
0.4526 0.9367 0.2026
0.5474 0.0633 0.7974
0.5474 0.4367 0.2974
0.8102 0.5277 0.2623
0.8102 0.9723 0.7623
0.3763 0.2145 0.5106
0.3763 0.2855 0.0106
0.6237 0.7145 0.9894
0.6237 0.7855 0.4894
```

Top 8 peaks for 2θ = 15–90°, low angle first:
| two_theta | I (rel.) |
| --- | --- |
| 17.79 | 100 |
| 25.39 | 71 |
| 34.71 | 30 |
| 40.38 | 25 |
| 40.76 | 32 |
| 43.12 | 42 |
| 43.33 | 23 |
| 44.53 | 27 |

# 10
Theoretical X-ray diffraction stick pattern of LiSi2Ru for copper Kα, from a structure optimized by DFT (PBE).
Kinematic intensities with the Lorentz-polarization factor, no thermal factor.

Cell and atoms:
```
LiSi2Ru
1.0
3.6076 0.0000 0.0000
0.0000 3.6076 0.0000
0.0000 0.0000 7.6789
Li Si Ru
2 4 2
Direct
0.0000 0.0000 0.0000
0.5000 0.5000 0.5000
0.0000 0.0000 0.5000
0.0000 0.5000 0.7500
0.5000 0.0000 0.2500
0.5000 0.5000 0.0000
0.0000 0.5000 0.2500
0.5000 0.0000 0.7500
```

Top 8 peaks for 2θ = 15–90°, low angle first:
| two_theta | I (rel.) |
| --- | --- |
| 23.17 | 45 |
| 27.31 | 75 |
| 35.18 | 30 |
| 42.55 | 100 |
| 43.34 | 21 |
| 50.60 | 30 |
| 71.81 | 21 |
| 89.65 | 24 |

# 11
Theoretical X-ray diffraction stick pattern of LiSm12Ru6 for copper Kα, from a structure optimized by DFT (PBE).
Kinematic intensities with the Lorentz-polarization factor, no thermal factor.

Cell and atoms:
```
LiSm12Ru6
1.0
6.4497 3.7237 3.7401
-6.4497 3.7237 3.7401
0.0000 -7.4475 3.7401
Li Sm Ru
1 12 6
Direct
0.0000 0.0000 0.0000
0.0734 0.6654 0.9186
0.0814 0.9266 0.3346
0.1769 0.4123 0.5539
0.3346 0.0814 0.9266
0.4123 0.5539 0.1769
0.4461 0.8231 0.5877
0.5539 0.1769 0.4123
0.5877 0.4461 0.8231
0.6654 0.9186 0.0734
0.8231 0.5877 0.4461
0.9186 0.0734 0.6654
0.9266 0.3346 0.0814
0.1381 0.6096 0.3038
0.3038 0.1381 0.6096
0.3904 0.6962 0.8619
0.6096 0.3038 0.1381
0.6962 0.8619 0.3904
0.8619 0.3904 0.6962
```

Top 8 peaks for 2θ = 15–90°, low angle first:
| two_theta | I (rel.) |
| --- | --- |
| 22.49 | 34 |
| 26.42 | 69 |
| 27.65 | 28 |
| 32.92 | 38 |
| 33.03 | 39 |
| 36.87 | 100 |
| 38.54 | 66 |
| 54.39 | 24 |

# 12
Theoretical X-ray diffraction stick pattern of LiSm3Ru2 for copper Kα, from a structure optimized by DFT (PBE).
Kinematic intensities with the Lorentz-polarization factor, no thermal factor.

Cell and atoms:
```
LiSm3Ru2
1.0
3.4622 0.0000 0.0000
0.0000 3.4622 0.0000
0.0000 0.0000 11.7876
Li Sm Ru
1 3 2
Direct
0.0000 0.0000 0.0000
0.5000 0.5000 0.2063
0.5000 0.5000 0.5000
0.5000 0.5000 0.7937
0.0000 0.0000 0.3437
0.0000 0.0000 0.6563
```

Top 8 peaks for 2θ = 15–90°, low angle first:
| two_theta | I (rel.) |
| --- | --- |
| 15.03 | 19 |
| 25.73 | 18 |
| 34.53 | 100 |
| 36.71 | 55 |
| 40.19 | 36 |
| 52.89 | 19 |
| 64.71 | 32 |
| 67.51 | 15 |

# 13
Theoretical X-ray diffraction stick pattern of LiThSnRu for copper Kα, from a structure optimized by DFT (PBE).
Kinematic intensities with the Lorentz-polarization factor, no thermal factor.

Cell and atoms:
```
LiThSnRu
1.0
6.8384 0.0000 0.0000
0.0000 6.8384 0.0000
0.0000 0.0000 6.8384
Li Th Sn Ru
4 4 4 4
Direct
0.0000 0.0000 0.0000
0.0000 0.5000 0.5000
0.5000 0.0000 0.5000
0.5000 0.5000 0.0000
0.2500 0.2500 0.2500
0.2500 0.7500 0.7500
0.7500 0.2500 0.7500
0.7500 0.7500 0.2500
0.2500 0.2500 0.7500
0.2500 0.7500 0.2500
0.7500 0.2500 0.2500
0.7500 0.7500 0.7500
0.0000 0.0000 0.5000
0.0000 0.5000 0.0000
0.5000 0.0000 0.0000
0.5000 0.5000 0.5000
```

Top 8 peaks for 2θ = 15–90°, low angle first:
| two_theta | I (rel.) |
| --- | --- |
| 22.52 | 23 |
| 26.06 | 33 |
| 37.19 | 100 |
| 43.91 | 12 |
| 53.61 | 18 |
| 60.55 | 14 |
| 67.05 | 37 |
| 79.24 | 12 |

# 14
Theoretical X-ray diffraction stick pattern of SrLi2Ru for copper Kα, from a structure optimized by DFT (PBE).
Kinematic intensities with the Lorentz-polarization factor, no thermal factor.

Cell and atoms:
```
SrLi2Ru
1.0
3.2389 0.0000 0.0000
0.0000 3.6034 0.0000
0.0000 0.0000 7.5627
Sr Li Ru
1 2 1
Direct
0.0000 0.0000 0.0000
0.0000 0.0000 0.5917
0.5000 0.5000 0.3985
0.5000 0.5000 0.7447
```

Top 8 peaks for 2θ = 15–90°, low angle first:
| two_theta | I (rel.) |
| --- | --- |
| 27.42 | 88 |
| 30.01 | 70 |
| 34.38 | 100 |
| 36.53 | 85 |
| 37.33 | 88 |
| 39.25 | 62 |
| 52.55 | 33 |
| 64.06 | 32 |

# 15
Theoretical X-ray diffraction stick pattern of SrLiRu2 for copper Kα, from a structure optimized by DFT (PBE).
Kinematic intensities with the Lorentz-polarization factor, no thermal factor.

Cell and atoms:
```
SrLiRu2
1.0
3.0055 0.0000 0.0000
0.0000 4.6699 0.0000
0.0000 0.0000 9.8471
Sr Li Ru
2 2 4
Direct
0.0000 0.0000 0.0000
0.5000 0.5000 0.5000
0.0000 0.0000 0.5000
0.5000 0.5000 0.0000
0.0000 0.5000 0.2297
0.0000 0.5000 0.7703
0.5000 0.0000 0.2703
0.5000 0.0000 0.7297
```

Top 8 peaks for 2θ = 15–90°, low angle first:
| two_theta | I (rel.) |
| --- | --- |
| 18.02 | 26 |
| 33.37 | 25 |
| 36.50 | 28 |
| 38.56 | 29 |
| 40.10 | 100 |
| 54.14 | 18 |
| 69.86 | 16 |
| 70.80 | 18 |